For Na2PrGeSe4, a DFT-relaxed cell (PBE, Alexandria) gives the theoretical powder X-ray diffraction pattern in this record (Cu Kα (λ = 1.5418 Å)).
Peak positions follow from Bragg's law for the DFT cell and can differ from measured ones.

Atomic structure:
Lattice parameters (Å, degrees): 8.371 8.371 8.371 122.16 118.20 89.72
Sites, in units of the cell vectors:
Na: 0.000 0.000 0.000
Na: 0.500 0.000 0.000
Na: 0.500 0.000 0.500
Na: 0.500 0.500 0.500
Pr: 0.000 0.500 0.500
Pr: 0.500 0.500 0.000
Ge: 0.000 0.000 0.500
Ge: 0.000 0.500 0.000
Se: 0.220 0.249 0.971
Se: 0.222 0.751 0.471
Se: 0.236 0.235 0.499
Se: 0.236 0.737 0.001
Se: 0.764 0.263 0.999
Se: 0.764 0.765 0.501
Se: 0.778 0.249 0.529
Se: 0.780 0.751 0.029

Main lines, in order of rising 2θ (2θ = 15–90°):
24.62°, intensity 14; 30.12°, intensity 51; 30.33°, intensity 100; 42.03°, intensity 18; 43.27°, intensity 72; 44.78°, intensity 19; 52.58°, intensity 18; 54.91°, intensity 18; 63.09°, intensity 11; 71.16°, intensity 14; 71.49°, intensity 14; 81.50°, intensity 11

For Na2Ge4Pt3, a DFT-relaxed cell (PBE, Alexandria) gives the theoretical powder X-ray diffraction pattern in this record (Cu Kα (λ = 1.5418 Å)).
Peak positions follow from Bragg's law for the DFT cell and can differ from measured ones.

Atomic structure:
Lattice parameters (Å, degrees): 7.920 6.816 5.684 78.05 57.35 44.60
Sites, in units of the cell vectors:
Na: 0.123 0.123 0.877
Na: 0.877 0.877 0.123
Ge: 0.168 0.511 0.489
Ge: 0.489 0.832 0.168
Ge: 0.511 0.168 0.832
Ge: 0.832 0.489 0.511
Pt: 0.000 0.000 0.500
Pt: 0.500 0.500 0.000
Pt: 0.500 0.500 0.500

Main lines, in order of rising 2θ (2θ = 15–90°):
18.00°, intensity 41; 19.44°, intensity 76; 36.60°, intensity 30; 38.44°, intensity 70; 39.35°, intensity 47; 39.47°, intensity 100; 43.80°, intensity 33; 47.11°, intensity 26; 47.22°, intensity 57; 58.32°, intensity 21; 65.71°, intensity 22; 72.03°, intensity 26

Repeat the first record exactly.
For Na2PrGeSe4, a DFT-relaxed cell (PBE, Alexandria) gives the theoretical powder X-ray diffraction pattern in this record (Cu Kα (λ = 1.5418 Å)).
Peak positions follow from Bragg's law for the DFT cell and can differ from measured ones.

Atomic structure:
Lattice parameters (Å, degrees): 8.371 8.371 8.371 122.16 118.20 89.72
Sites, in units of the cell vectors:
Na: 0.000 0.000 0.000
Na: 0.500 0.000 0.000
Na: 0.500 0.000 0.500
Na: 0.500 0.500 0.500
Pr: 0.000 0.500 0.500
Pr: 0.500 0.500 0.000
Ge: 0.000 0.000 0.500
Ge: 0.000 0.500 0.000
Se: 0.220 0.249 0.971
Se: 0.222 0.751 0.471
Se: 0.236 0.235 0.499
Se: 0.236 0.737 0.001
Se: 0.764 0.263 0.999
Se: 0.764 0.765 0.501
Se: 0.778 0.249 0.529
Se: 0.780 0.751 0.029

Main lines, in order of rising 2θ (2θ = 15–90°):
24.62°, intensity 14; 30.12°, intensity 51; 30.33°, intensity 100; 42.03°, intensity 18; 43.27°, intensity 72; 44.78°, intensity 19; 52.58°, intensity 18; 54.91°, intensity 18; 63.09°, intensity 11; 71.16°, intensity 14; 71.49°, intensity 14; 81.50°, intensity 11

Copy entry 2 word for word.
For Na2Ge4Pt3, a DFT-relaxed cell (PBE, Alexandria) gives the theoretical powder X-ray diffraction pattern in this record (Cu Kα (λ = 1.5418 Å)).
Peak positions follow from Bragg's law for the DFT cell and can differ from measured ones.

Atomic structure:
Lattice parameters (Å, degrees): 7.920 6.816 5.684 78.05 57.35 44.60
Sites, in units of the cell vectors:
Na: 0.123 0.123 0.877
Na: 0.877 0.877 0.123
Ge: 0.168 0.511 0.489
Ge: 0.489 0.832 0.168
Ge: 0.511 0.168 0.832
Ge: 0.832 0.489 0.511
Pt: 0.000 0.000 0.500
Pt: 0.500 0.500 0.000
Pt: 0.500 0.500 0.500

Main lines, in order of rising 2θ (2θ = 15–90°):
18.00°, intensity 41; 19.44°, intensity 76; 36.60°, intensity 30; 38.44°, intensity 70; 39.35°, intensity 47; 39.47°, intensity 100; 43.80°, intensity 33; 47.11°, intensity 26; 47.22°, intensity 57; 58.32°, intensity 21; 65.71°, intensity 22; 72.03°, intensity 26